Hg3S2F2: simulated X-ray diffraction stick pattern (Cu Kα X-rays), based on the GGA-PBE geometry in the Materials Project.

Top 10 peaks for 10 to 90 degrees two-theta, in order of rising 2θ:
d_spacing  I_rel
3.429  100.0
2.656  53.1
2.425  13.7
2.245  26.4
2.100  11.0
1.980  14.9
1.878  20.0
1.647  37.9
1.534  12.5
1.363  19.8

Atomic structure:
Cell lengths 7.2749, 7.2749, 7.2749 Å; angles 109.47, 109.47, 109.47 degrees
Element x y z (fractional)
Hg1 0.1693 0.7500 0.9193
Hg2 0.2500 0.5807 0.3307
Hg3 0.3307 0.2500 0.5807
Hg4 0.5807 0.3307 0.2500
Hg5 0.7500 0.9193 0.1693
Hg6 0.9193 0.1693 0.7500
S1 0.0000 0.9321 0.5000
S2 0.5000 0.0000 0.9321
S3 0.5679 0.5679 0.5679
S4 0.9321 0.5000 0.0000
F1 0.0000 0.4651 0.5000
F2 0.0349 0.0349 0.0349
F3 0.4651 0.5000 0.0000
F4 0.5000 0.0000 0.4651